No. 1
K3AsF12: calculated powder diffractogram (Cu Kα (λ = 1.5418 Å)), based on DFT lattice parameters and positions (GGA-PBE).
No peak broadening, texture or thermal motion is included.

Top 12 peaks for 15 to 90 degrees two-theta, by angle:
index	two_theta	I (rel.)
1 1 -1	20.17	100
0 0 1	20.28	42
1 3 0	21.61	58
0 4 0	24.41	51
2 2 0	26.15	56
1 1 1	27.61	46
3 1 -1	33.78	48
2 0 1	36.37	67
3 3 -1	38.14	29
1 5 1	41.23	56
4 0 -1	43.70	44
2 6 0	44.03	44

Atomic structure:
```
data_K3AsF12
_space_group_name_H-M_alt 'C 1 2/m 1'
_space_group_IT_number 12
_cell_length_a 8.3071
_cell_length_b 14.5902
_cell_length_c 4.7184
_cell_angle_alpha 90.00
_cell_angle_beta 111.88
_cell_angle_gamma 90.00
loop_
_space_group_symop_operation_xyz
'x,y,z'
'-x,-y,-z'
'-x,y,-z'
'x,-y,z'
'x+1/2,y+1/2,z'
'-x+1/2,-y+1/2,-z'
'-x+1/2,y+1/2,-z'
'x+1/2,-y+1/2,z'
loop_
_atom_site_label
_atom_site_type_symbol
_atom_site_fract_x
_atom_site_fract_y
_atom_site_fract_z
K1 K 0.0000 0.0000 0.0000
K2 K 0.2500 0.2500 0.5000
As1 As 0.0000 0.5000 0.5000
F1 F 0.0733 0.1859 0.8749
F2 F 0.0797 0.4173 0.7866
F3 F 0.2381 0.4353 0.4490
```

***

No. 2
K3AsF8: calculated powder diffractogram (Cu Kα (λ = 1.5418 Å)), based on DFT lattice parameters and positions (GGA-PBE).
No peak broadening, texture or thermal motion is included.

Top 12 peaks for 15 to 90 degrees two-theta, by angle:
index	two_theta	I (rel.)
0 0 2	15.68	15
1 0 1	17.10	43
1 1 2	26.75	100
2 2 0	43.90	25
2 0 4	44.64	49
3 1 2	52.15	23
1 1 6	53.46	11
3 2 1	57.54	7
3 3 2	70.48	7
3 1 6	71.58	12
4 2 4	81.22	8
5 1 2	86.86	6

Atomic structure:
```
data_K3AsF8
_space_group_name_H-M_alt 'I 4/m m m'
_space_group_IT_number 139
_space_group_name_Hall '-I 4 2'
_cell_length_a 5.8337
_cell_length_b 5.8337
_cell_length_c 11.3065
_cell_angle_alpha 90.00
_cell_angle_beta 90.00
_cell_angle_gamma 90.00
loop_
_atom_site_label
_atom_site_type_symbol
_atom_site_fract_x
_atom_site_fract_y
_atom_site_fract_z
K1 K 0.0000 0.0000 0.0000
K2 K 0.0000 0.5000 0.2500
As1 As 0.0000 0.0000 0.5000
F1 F 0.1971 0.1971 0.3983
```